Diffraction record for Rb2LiNd2W4O16. The X-ray diffraction stick pattern is computed, not measured: it uses DFT lattice parameters and positions (GGA+U) and Cu Kα (λ = 1.5418 Å).
Peak positions follow from Bragg's law for the DFT cell and can differ from measured ones.

Atomic structure:
```
Rb2LiNd2W4O16
1.0
7.5915 0.0000 0.0000
3.4874 6.8405 0.0000
3.7272 -1.8505 6.9784
Rb Li Nd W O
2 1 2 4 16
direct
0.0000 0.0000 0.0000
0.4917 0.3640 0.6779
0.5033 0.5712 0.4126
0.5096 0.9651 0.0079
0.9871 0.4610 0.5902
0.0465 0.8994 0.4902
0.4542 0.5216 0.0938
0.5450 0.9157 0.4822
0.9543 0.5074 0.1106
0.0422 0.4636 0.8548
0.1304 0.2568 0.1330
0.1733 0.5877 0.0682
0.2377 0.5807 0.3924
0.2764 0.8418 0.2173
0.3113 0.8431 0.5413
0.3741 0.1672 0.4605
0.4611 0.9744 0.7352
0.5536 0.2483 0.0269
0.6055 0.6021 0.8706
0.7056 0.4515 0.1574
0.7063 0.8115 0.1867
0.7691 0.6066 0.4201
0.8181 0.9507 0.4239
0.8891 0.8385 0.7175
0.9500 0.1674 0.5650
```

Principal peaks in the range 2θ from 10° to 90°, low angle first:
(0 0 2), d = 3.489 Å, 2θ 25.5, intensity 693; (0 2 0), d = 3.305 Å, 2θ 27.0, intensity 1000; (2 0 2), d = 3.169 Å, 2θ 28.2, intensity 744; (2 2 0), d = 3.099 Å, 2θ 28.8, intensity 746; (2 0 0), d = 2.904 Å, 2θ 30.8, intensity 584; (2 2 2), d = 2.779 Å, 2θ 32.2, intensity 652